Simulated powder X-ray diffraction pattern of LiNiHg2 for λ = 1.5418 Å (Cu Kα), from a cell relaxed with GGA-PBE.
Intensities are scaled so that the largest is 100.

Cell and atoms:
```
data_LiNiHg2
_space_group_name_H-M_alt 'F -4 3 m'
_space_group_IT_number 216
_space_group_name_Hall 'F -4 2 3'
_cell_length_a 6.503
_cell_length_b 6.503
_cell_length_c 6.503
_cell_angle_alpha 90.00
_cell_angle_beta 90.00
_cell_angle_gamma 90.00
loop_
_atom_site_label
_atom_site_type_symbol
_atom_site_fract_x
_atom_site_fract_y
_atom_site_fract_z
Li1 Li 0.000 0.000 0.000
Ni1 Ni 0.250 0.250 0.250
Hg1 Hg 0.000 0.000 0.500
Hg2 Hg 0.250 0.250 0.750
```

Most intense lines, 10 to 90 degrees two-theta, in order of rising 2θ:
Position (°2θ), I_rel, h k l
23.70, 60, 1 1 1
27.43, 2, 2 0 0
39.18, 100, 2 2 0
46.31, 32, 3 1 1
56.62, 17, 4 0 0
62.23, 14, 3 3 1
71.01, 35, 4 2 2
76.05, 11, 5 1 1
84.23, 11, 4 4 0
89.07, 11, 5 3 1

Simulated powder X-ray diffraction pattern of SbIr17 for λ = 1.5418 Å (Cu Kα), from a cell relaxed with GGA-PBE.
Intensities are scaled so that the largest is 100.

Cell and atoms:
```
data_SbIr17
_space_group_name_H-M_alt 'P -3 m 1'
_space_group_IT_number 164
_space_group_name_Hall '-P 3 2"'
_cell_length_a 5.4465
_cell_length_b 5.4465
_cell_length_c 32.8153
_cell_angle_alpha 90.00
_cell_angle_beta 90.00
_cell_angle_gamma 120.00
loop_
_atom_site_label
_atom_site_type_symbol
_atom_site_fract_x
_atom_site_fract_y
_atom_site_fract_z
Sb1 Sb 0.3333 0.6667 0.2898
Ir1 Ir 0.0000 0.0000 0.0000
Ir2 Ir 0.0000 0.0000 0.2044
Ir3 Ir 0.0000 0.5000 0.0000
Ir4 Ir 0.0016 0.5008 0.2037
Ir5 Ir 0.1653 0.3305 0.7296
Ir6 Ir 0.1665 0.3330 0.1361
Ir7 Ir 0.1670 0.3339 0.9320
Ir8 Ir 0.3333 0.6667 0.0678
Ir9 Ir 0.3333 0.6667 0.8642
```

Most intense lines, 10 to 90 degrees two-theta, in order of rising 2θ:
Position (°2θ), I_rel, h k l
38.40, 21, 0 0 14
39.77, 40, 2 0 4
40.65, 100, 2 0 5
41.27, 27, 0 0 15
41.71, 18, 2 0 6
45.82, 34, 0 2 9
47.47, 60, 0 2 10
68.97, 22, 2 2 0
69.83, 17, 2 0 20
83.65, 22, 2 2 15